(1)
This entry pairs a crystal structure of AcTlTe2 with its computed powder diffraction line list. Radiation: Cu Kα (weighted mean of Kα1 and Kα2). Structure: a cell relaxed with PBE.

Most intense lines, 15° ≤ 2θ ≤ 90°, low angle first:
d (Å)  intensity
4.073  7.5
2.880  100.0
2.036  18.8
1.663  39.9
1.440  12.4
1.288  17.2

Cell lengths 8.145, 8.145, 8.145 Å; angles 90.00, 90.00, 90.00 degrees
Element x y z (fractional)
Ac 0.000 0.000 0.000
Ac 0.000 0.500 0.500
Ac 0.500 0.000 0.500
Ac 0.500 0.500 0.000
Tl 0.000 0.000 0.500
Tl 0.000 0.500 0.000
Tl 0.500 0.000 0.000
Tl 0.500 0.500 0.500
Te 0.250 0.250 0.250
Te 0.250 0.250 0.750
Te 0.250 0.750 0.250
Te 0.250 0.750 0.750
Te 0.750 0.250 0.250
Te 0.750 0.250 0.750
Te 0.750 0.750 0.250
Te 0.750 0.750 0.750

(2)
This entry pairs a crystal structure of Ac3Th with its computed powder diffraction line list. Radiation: Cu Kα (weighted mean of Kα1 and Kα2). Structure: a cell relaxed with PBE.

Most intense lines, 15° ≤ 2θ ≤ 90°, low angle first:
d (Å)  intensity
3.369  22.9
3.161  26.1
2.973  100.0
1.945  20.3
1.787  23.6
1.656  24.6

Cell lengths 7.779, 7.779, 6.322 Å; angles 90.00, 90.00, 120.00 degrees
Element x y z (fractional)
Ac 0.171 0.341 0.250
Ac 0.171 0.829 0.250
Ac 0.341 0.171 0.750
Ac 0.659 0.829 0.250
Ac 0.829 0.171 0.750
Ac 0.829 0.659 0.750
Th 0.333 0.667 0.750
Th 0.667 0.333 0.250

(3)
This entry pairs a crystal structure of AcTh with its computed powder diffraction line list. Radiation: Cu Kα (weighted mean of Kα1 and Kα2). Structure: a cell relaxed with PBE.

Most intense lines, 15° ≤ 2θ ≤ 90°, low angle first:
d (Å)  intensity
3.241  22.8
3.095  27.0
2.871  100.0
1.871  19.9
1.740  23.8
1.601  24.4

Cell lengths 3.742, 3.742, 6.190 Å; angles 90.00, 90.00, 120.00 degrees
Element x y z (fractional)
Ac 0.000 0.000 0.000
Th 0.667 0.333 0.500

(4)
This entry pairs a crystal structure of Ac3Ti with its computed powder diffraction line list. Radiation: Cu Kα (weighted mean of Kα1 and Kα2). Structure: a cell relaxed with PBE.

Most intense lines, 15° ≤ 2θ ≤ 90°, low angle first:
d (Å)  intensity
4.709  16.5
3.044  100.0
2.657  17.4
2.626  33.8
1.868  25.2
1.585  29.9

Cell lengths 5.253, 5.253, 10.628 Å; angles 90.00, 90.00, 90.00 degrees
Element x y z (fractional)
Ac 0.000 0.000 0.000
Ac 0.000 0.500 0.250
Ac 0.000 0.500 0.750
Ac 0.500 0.000 0.250
Ac 0.500 0.000 0.750
Ac 0.500 0.500 0.500
Ti 0.000 0.000 0.500
Ti 0.500 0.500 0.000